Structure and calculated XRD peak list of Co2Hg2O5 (a crystal structure in OQMD, relaxed with PBE+U; Cu Kα (λ = 1.5418 Å)).
Peak positions follow from Bragg's law for the DFT cell and can differ from measured ones.

The 8 most intense peaks (10 to 80 degrees two-theta), low angle first:
(hkl)	2θ/deg	Rel. int.
1 0 0	24.11	275
1 0 2	33.15	1000
1 1 0	34.36	397
1 1 2	41.41	257
2 0 0	49.38	226
1 1 4	58.43	201
2 1 2	60.77	354
2 0 4	69.57	141

Crystal structure
a = 3.691 Å, b = 3.691 Å, c = 7.935 Å
α = 90.00°, β = 90.00°, γ = 90.00°
Space group P4/mmm (No. 123)
Inequivalent atoms, fractional coordinates:
Co (0.000, 0.000, 0.249) x2
Hg (0.500, 0.500, 0.000) x1
Hg (0.500, 0.500, 0.500) x1
O (0.000, 0.000, 0.500) x1
O (0.000, 0.500, 0.206) x4